1.
This entry pairs a crystal structure of Ac2Cu3Sn4Ru with its calculated XRD peak list. Radiation: copper Kα. Structure: a structure optimized by DFT (PBE).
Intensities are scaled so that the largest is 100.

Most intense lines, 2θ from 10° to 90°, by angle:
2theta	I (rel.)
27.27	17
31.52	67
32.01	100
38.94	61
46.46	23
50.94	36
56.25	21
58.61	15
62.19	20
66.20	25

Structural model:
Unit cell a=4.626 b=4.626 c=10.782 alpha=90.00 beta=90.00 gamma=90.00
Fractional positions:
Ac1 0.000 0.500 0.238
Ac2 0.500 0.000 0.762
Cu1 0.000 0.000 0.000
Cu2 0.000 0.500 0.633
Cu3 0.500 0.000 0.367
Sn1 0.000 0.000 0.500
Sn2 0.000 0.500 0.876
Sn3 0.500 0.000 0.124
Sn4 0.500 0.500 0.500
Ru1 0.500 0.500 0.000



2.
This entry pairs a crystal structure of CoAsIr with its calculated XRD peak list. Radiation: copper Kα. Structure: a structure optimized by DFT (PBE).
Intensities are scaled so that the largest is 100.

Most intense lines, 2θ from 10° to 90°, by angle:
2theta	I (rel.)
23.58	28
26.13	34
32.93	19
38.84	100
43.05	74
45.94	20
47.57	28
47.76	54
69.69	35
80.12	24

Structural model:
Unit cell a=4.474 b=4.474 c=4.474 alpha=141.96 beta=129.41 gamma=65.01
Fractional positions:
Co1 0.000 0.000 0.000
As1 0.318 0.318 0.000
Ir1 0.651 0.651 0.000